Record 1
Calculated powder diffraction line list
Compound: Cd2In3Ag3Te8
Radiation: Cu Kα
Structure: DFT lattice parameters and positions (GGA-PBE)
Neutral-atom scattering factors, no anomalous dispersion.

```
data_Cd2In3Ag3Te8
_chemical_formula_sum 'Cd2 In3 Ag3 Te8'
_space_group_name_H-M_alt 'P -4'
_space_group_IT_number 81
_space_group_name_Hall 'P -4'
_cell_length_a 6.606
_cell_length_b 6.606
_cell_length_c 12.999
_cell_angle_alpha 90.00
_cell_angle_beta 90.00
_cell_angle_gamma 90.00
loop_
_atom_site_label
_atom_site_type_symbol
_atom_site_fract_x
_atom_site_fract_y
_atom_site_fract_z
Cd1 Cd 0.000 0.000 0.000
Cd2 Cd 0.500 0.500 0.000
In1 In 0.000 0.000 0.500
In2 In 0.000 0.500 0.750
Ag1 Ag 0.000 0.500 0.250
Ag2 Ag 0.500 0.500 0.500
Te1 Te 0.249 0.253 0.127
Te2 Te 0.251 0.745 0.375
```

Largest 10 diffraction maxima, by angle, 2θ = 10–90°:
- (1 1 2), d = 3.793 Å, I = 100
- (2 2 0), d = 2.336 Å, I = 27
- (2 0 4), d = 2.317 Å, I = 53
- (3 1 2), d = 1.989 Å, I = 33
- (1 1 6), d = 1.965 Å, I = 16
- (4 0 0), d = 1.652 Å, I = 9
- (3 1 6), d = 1.504 Å, I = 13
- (4 2 4), d = 1.345 Å, I = 18
- (2 2 8), d = 1.334 Å, I = 9
- (5 1 2), d = 1.271 Å, I = 7

Record 2
Calculated powder diffraction line list
Compound: Cd2InAgTe4
Radiation: Cu Kα
Structure: DFT lattice parameters and positions (GGA-PBE)
Neutral-atom scattering factors, no anomalous dispersion.

```
data_Cd2InAgTe4
_chemical_formula_sum 'Cd4 In2 Ag2 Te8'
_space_group_name_H-M_alt 'I -4 2 m'
_space_group_IT_number 121
_space_group_name_Hall 'I -4 2'
_cell_length_a 6.614
_cell_length_b 6.614
_cell_length_c 13.115
_cell_angle_alpha 90.00
_cell_angle_beta 90.00
_cell_angle_gamma 90.00
loop_
_atom_site_label
_atom_site_type_symbol
_atom_site_fract_x
_atom_site_fract_y
_atom_site_fract_z
Cd1 Cd 0.000 0.500 0.250
In1 In 0.000 0.000 0.000
Ag1 Ag 0.000 0.000 0.500
Te1 Te 0.248 0.248 0.377
```

Largest 10 diffraction maxima, by angle, 2θ = 10–90°:
- (1 1 2), d = 3.808 Å, I = 100
- (2 2 0), d = 2.338 Å, I = 27
- (2 0 4), d = 2.328 Å, I = 53
- (3 1 2), d = 1.993 Å, I = 33
- (1 1 6), d = 1.980 Å, I = 16
- (4 0 0), d = 1.654 Å, I = 9
- (3 1 6), d = 1.511 Å, I = 13
- (4 2 4), d = 1.348 Å, I = 18
- (2 2 8), d = 1.342 Å, I = 9
- (5 1 2), d = 1.273 Å, I = 7

Record 3
Calculated powder diffraction line list
Compound: LiCd2Ag
Radiation: Cu Kα
Structure: DFT lattice parameters and positions (GGA-PBE)
Neutral-atom scattering factors, no anomalous dispersion.

```
data_LiCd2Ag
_chemical_formula_sum 'Li4 Cd8 Ag4'
_space_group_name_H-M_alt 'F m -3 m'
_space_group_IT_number 225
_space_group_name_Hall '-F 4 2 3'
_cell_length_a 6.724
_cell_length_b 6.724
_cell_length_c 6.724
_cell_angle_alpha 90.00
_cell_angle_beta 90.00
_cell_angle_gamma 90.00
loop_
_atom_site_label
_atom_site_type_symbol
_atom_site_fract_x
_atom_site_fract_y
_atom_site_fract_z
Li1 Li 0.000 0.000 0.000
Cd1 Cd 0.250 0.250 0.250
Ag1 Ag 0.000 0.000 0.500
```

Largest 10 diffraction maxima, by angle, 2θ = 10–90°:
- (1 1 1), d = 3.882 Å, I = 24
- (2 0 0), d = 3.362 Å, I = 13
- (2 2 0), d = 2.377 Å, I = 100
- (3 1 1), d = 2.027 Å, I = 12
- (2 2 2), d = 1.941 Å, I = 4
- (4 0 0), d = 1.681 Å, I = 17
- (3 3 1), d = 1.542 Å, I = 5
- (4 2 0), d = 1.503 Å, I = 5
- (4 2 2), d = 1.372 Å, I = 33
- (4 4 0), d = 1.189 Å, I = 10

Record 4
Calculated powder diffraction line list
Compound: LuCdAg2
Radiation: Cu Kα
Structure: DFT lattice parameters and positions (GGA-PBE)
Neutral-atom scattering factors, no anomalous dispersion.

```
data_LuCdAg2
_chemical_formula_sum 'Lu4 Cd4 Ag8'
_space_group_name_H-M_alt 'F m -3 m'
_space_group_IT_number 225
_space_group_name_Hall '-F 4 2 3'
_cell_length_a 6.925
_cell_length_b 6.925
_cell_length_c 6.925
_cell_angle_alpha 90.00
_cell_angle_beta 90.00
_cell_angle_gamma 90.00
loop_
_atom_site_label
_atom_site_type_symbol
_atom_site_fract_x
_atom_site_fract_y
_atom_site_fract_z
Lu1 Lu 0.000 0.000 0.000
Cd1 Cd 0.000 0.000 0.500
Ag1 Ag 0.250 0.250 0.250
```

Largest 10 diffraction maxima, by angle, 2θ = 10–90°:
- (1 1 1), d = 3.998 Å, I = 3
- (2 0 0), d = 3.462 Å, I = 2
- (2 2 0), d = 2.448 Å, I = 100
- (3 1 1), d = 2.088 Å, I = 2
- (4 0 0), d = 1.731 Å, I = 17
- (3 3 1), d = 1.589 Å, I = 1
- (4 2 0), d = 1.548 Å, I = 1
- (4 2 2), d = 1.413 Å, I = 34
- (4 4 0), d = 1.224 Å, I = 11
- (6 2 0), d = 1.095 Å, I = 16

Record 5
Calculated powder diffraction line list
Compound: MgCdAg2
Radiation: Cu Kα
Structure: DFT lattice parameters and positions (GGA-PBE)
Neutral-atom scattering factors, no anomalous dispersion.

```
data_MgCdAg2
_chemical_formula_sum 'Mg1 Cd1 Ag2'
_space_group_name_H-M_alt 'P 4/m m m'
_space_group_IT_number 123
_space_group_name_Hall '-P 4 2'
_cell_length_a 3.309
_cell_length_b 3.309
_cell_length_c 6.967
_cell_angle_alpha 90.00
_cell_angle_beta 90.00
_cell_angle_gamma 90.00
loop_
_atom_site_label
_atom_site_type_symbol
_atom_site_fract_x
_atom_site_fract_y
_atom_site_fract_z
Mg1 Mg 0.000 0.000 0.000
Cd1 Cd 0.000 0.000 0.500
Ag1 Ag 0.500 0.500 0.240
```

Largest 10 diffraction maxima, by angle, 2θ = 10–90°:
- (0 0 1), d = 6.967 Å, I = 14
- (1 0 1), d = 2.989 Å, I = 15
- (1 0 2), d = 2.399 Å, I = 100
- (1 1 0), d = 2.340 Å, I = 47
- (0 0 4), d = 1.742 Å, I = 9
- (2 0 0), d = 1.655 Å, I = 15
- (1 1 4), d = 1.397 Å, I = 16
- (2 1 2), d = 1.362 Å, I = 31
- (2 0 4), d = 1.200 Å, I = 10
- (1 0 6), d = 1.096 Å, I = 7

Record 6
Calculated powder diffraction line list
Compound: MgCdAg2
Radiation: Cu Kα
Structure: DFT lattice parameters and positions (GGA-PBE)
Neutral-atom scattering factors, no anomalous dispersion.

```
data_MgCdAg2
_chemical_formula_sum 'Mg4 Cd4 Ag8'
_space_group_name_H-M_alt 'F m -3 m'
_space_group_IT_number 225
_space_group_name_Hall '-F 4 2 3'
_cell_length_a 6.729
_cell_length_b 6.729
_cell_length_c 6.729
_cell_angle_alpha 90.00
_cell_angle_beta 90.00
_cell_angle_gamma 90.00
loop_
_atom_site_label
_atom_site_type_symbol
_atom_site_fract_x
_atom_site_fract_y
_atom_site_fract_z
Mg1 Mg 0.000 0.000 0.000
Cd1 Cd 0.000 0.000 0.500
Ag1 Ag 0.250 0.250 0.250
```

Largest 10 diffraction maxima, by angle, 2θ = 10–90°:
- (1 1 1), d = 3.885 Å, I = 15
- (2 0 0), d = 3.365 Å, I = 7
- (2 2 0), d = 2.379 Å, I = 100
- (3 1 1), d = 2.029 Å, I = 7
- (4 0 0), d = 1.682 Å, I = 16
- (3 3 1), d = 1.544 Å, I = 3
- (4 2 0), d = 1.505 Å, I = 2
- (4 2 2), d = 1.374 Å, I = 32
- (4 4 0), d = 1.190 Å, I = 10
- (5 3 1), d = 1.137 Å, I = 2